This entry pairs a crystal structure of NpSbIr4 with its computed powder X-ray diffraction pattern. Radiation: Cu Ka. Structure: the PBE geometry in Alexandria.

Largest 12 diffraction maxima, sorted by position, 10 to 80 degrees two-theta:
hkl, d [Å], I_rel
1 1 1, 4.348, 10
2 0 0, 3.765, 3
2 2 0, 2.662, 24
3 1 1, 2.270, 100
2 2 2, 2.174, 43
4 0 0, 1.883, 6
3 3 1, 1.728, 3
4 2 0, 1.684, 1
4 2 2, 1.537, 9
5 1 1, 1.449, 33
4 4 0, 1.331, 29
5 3 1, 1.273, 2

```
data_NpSbIr4
_chemical_formula_sum 'Np4 Sb4 Ir16'
_cell_length_a 7.5303
_cell_length_b 7.5303
_cell_length_c 7.5303
_cell_angle_alpha 90.00
_cell_angle_beta 90.00
_cell_angle_gamma 90.00
_symmetry_space_group_name_H-M 'F -4 3 m'
_symmetry_Int_Tables_number 216
_symmetry_space_group_name_Hall 'F -4 2 3'
loop_
_atom_site_label
_atom_site_fract_x
_atom_site_fract_y
_atom_site_fract_z
Np1 0.0000 0.0000 0.0000
Sb1 0.2500 0.2500 0.7500
Ir1 0.1248 0.1248 0.3752
```